# GeAs
Computed powder XRD pattern, Cu Kα X-rays. Input: a cell relaxed with GGA-PBE.
Neutral-atom scattering factors, no anomalous dispersion.

Top 10 peaks for 10° ≤ 2θ ≤ 80°, in order of falling intensity:
- 2.640 Å, 34.0°, rel. 100
- 1.990 Å, 45.6°, rel. 66
- 3.029 Å, 29.5°, rel. 55
- 1.867 Å, 48.8°, rel. 35
- 1.589 Å, 58.0°, rel. 32
- 1.776 Å, 51.4°, rel. 29
- 3.178 Å, 28.1°, rel. 22
- 1.287 Å, 73.6°, rel. 20
- 1.210 Å, 79.2°, rel. 13
- 1.320 Å, 71.5°, rel. 11

Structure:
```
GeAs
1.0
-1.867 1.867 3.029
1.867 -1.867 3.029
1.867 1.867 -3.029
Ge As
1 1
Cartesian
0.000 0.000 0.000 Ge
0.000 0.000 2.532 As
```